This entry pairs a crystal structure of CaAgBr3 with its calculated X-ray powder pattern. Radiation: Cu Kα, 1.54184 Å. Structure: a crystal structure in Alexandria, relaxed with PBE.
Kinematic intensities with the Lorentz-polarization factor, no thermal factor.

Most intense lines, 2θ = 15–90°, sorted by position:
d = 4.883 Å, 18.17 deg, intensity 100; d = 3.796 Å, 23.44 deg, intensity 56; d = 3.369 Å, 26.46 deg, intensity 24; d = 3.347 Å, 26.63 deg, intensity 74; d = 2.993 Å, 29.85 deg, intensity 31; d = 2.868 Å, 31.19 deg, intensity 39; d = 2.824 Å, 31.69 deg, intensity 37; d = 2.522 Å, 35.60 deg, intensity 57; d = 2.156 Å, 41.91 deg, intensity 41; d = 1.983 Å, 45.76 deg, intensity 34; d = 1.881 Å, 48.38 deg, intensity 36; d = 1.877 Å, 48.51 deg, intensity 36

Structural model:
Unit cell a=8.060 b=11.295 c=7.309 alpha=90.00 beta=90.00 gamma=90.00
Sites, in units of the cell vectors:
1 Ca 0.000 0.000 0.000
2 Ca 0.000 0.500 0.000
3 Ca 0.500 0.000 0.500
4 Ca 0.500 0.500 0.500
5 Ag 0.151 0.250 0.462
6 Ag 0.349 0.750 0.962
7 Ag 0.651 0.250 0.038
8 Ag 0.849 0.750 0.538
9 Br 0.010 0.250 0.132
10 Br 0.186 0.055 0.671
11 Br 0.186 0.445 0.671
12 Br 0.314 0.555 0.171
13 Br 0.314 0.945 0.171
14 Br 0.490 0.750 0.632
15 Br 0.510 0.250 0.368
16 Br 0.686 0.055 0.829
17 Br 0.686 0.445 0.829
18 Br 0.814 0.555 0.329
19 Br 0.814 0.945 0.329
20 Br 0.990 0.750 0.868

=====

This entry pairs a crystal structure of Rb2CaAgBr6 with its calculated X-ray powder pattern. Radiation: Cu Kα, 1.54184 Å. Structure: a crystal structure in Alexandria, relaxed with PBE.
Kinematic intensities with the Lorentz-polarization factor, no thermal factor.

Most intense lines, 2θ = 15–90°, sorted by position:
d = 5.602 Å, 15.82 deg, intensity 19; d = 3.961 Å, 22.45 deg, intensity 20; d = 3.234 Å, 27.58 deg, intensity 76; d = 2.801 Å, 31.95 deg, intensity 100; d = 2.505 Å, 35.85 deg, intensity 10; d = 1.980 Å, 45.82 deg, intensity 70; d = 1.689 Å, 54.32 deg, intensity 32; d = 1.617 Å, 56.95 deg, intensity 24; d = 1.400 Å, 66.80 deg, intensity 11; d = 1.285 Å, 73.72 deg, intensity 13; d = 1.253 Å, 75.97 deg, intensity 30; d = 1.143 Å, 84.79 deg, intensity 22

Structural model:
Unit cell a=5.603 b=5.603 c=11.199 alpha=90.00 beta=90.00 gamma=90.00
Sites, in units of the cell vectors:
1 Rb 0.000 0.000 0.235
2 Rb 0.000 0.000 0.765
3 Ca 0.500 0.500 0.500
4 Ag 0.500 0.500 0.000
5 Br 0.000 0.500 0.000
6 Br 0.000 0.500 0.500
7 Br 0.500 0.000 0.000
8 Br 0.500 0.000 0.500
9 Br 0.500 0.500 0.241
10 Br 0.500 0.500 0.759

=====

This entry pairs a crystal structure of SrCaAgBr5 with its calculated X-ray powder pattern. Radiation: Cu Kα, 1.54184 Å. Structure: a crystal structure in Alexandria, relaxed with PBE.
Kinematic intensities with the Lorentz-polarization factor, no thermal factor.

Most intense lines, 2θ = 15–90°, sorted by position:
d = 4.739 Å, 18.72 deg, intensity 46; d = 4.083 Å, 21.77 deg, intensity 47; d = 3.799 Å, 23.41 deg, intensity 96; d = 3.731 Å, 23.85 deg, intensity 76; d = 3.338 Å, 26.71 deg, intensity 52; d = 3.307 Å, 26.96 deg, intensity 100; d = 2.940 Å, 30.40 deg, intensity 46; d = 2.687 Å, 33.34 deg, intensity 50; d = 2.626 Å, 34.14 deg, intensity 51; d = 2.350 Å, 38.29 deg, intensity 81; d = 2.195 Å, 41.12 deg, intensity 45; d = 2.042 Å, 44.36 deg, intensity 61

Structural model:
Unit cell a=7.819 b=7.819 c=10.390 alpha=103.66 beta=103.66 gamma=107.21
Sites, in units of the cell vectors:
1 Sr 0.142 0.858 0.750
2 Sr 0.858 0.142 0.250
3 Ca 0.500 0.500 0.000
4 Ca 0.500 0.500 0.500
5 Ag 0.176 0.824 0.250
6 Ag 0.824 0.176 0.750
7 Br 0.129 0.214 0.958
8 Br 0.158 0.551 0.366
9 Br 0.214 0.129 0.458
10 Br 0.392 0.608 0.750
11 Br 0.449 0.842 0.134
12 Br 0.551 0.158 0.866
13 Br 0.608 0.392 0.250
14 Br 0.786 0.871 0.542
15 Br 0.842 0.449 0.634
16 Br 0.871 0.786 0.042

=====

This entry pairs a crystal structure of CdAg4Br6 with its calculated X-ray powder pattern. Radiation: Cu Kα, 1.54184 Å. Structure: a crystal structure in Alexandria, relaxed with PBE.
Kinematic intensities with the Lorentz-polarization factor, no thermal factor.

Most intense lines, 2θ = 15–90°, sorted by position:
d = 4.037 Å, 22.02 deg, intensity 35; d = 3.933 Å, 22.61 deg, intensity 29; d = 3.723 Å, 23.90 deg, intensity 25; d = 3.424 Å, 26.02 deg, intensity 44; d = 3.304 Å, 26.99 deg, intensity 26; d = 3.239 Å, 27.54 deg, intensity 100; d = 2.555 Å, 35.12 deg, intensity 32; d = 2.311 Å, 38.97 deg, intensity 35; d = 2.253 Å, 40.01 deg, intensity 20; d = 2.193 Å, 41.16 deg, intensity 24; d = 2.161 Å, 41.81 deg, intensity 31; d = 1.904 Å, 47.78 deg, intensity 30

Structural model:
Unit cell a=7.886 b=7.886 c=13.502 alpha=104.30 beta=104.30 gamma=61.61
Sites, in units of the cell vectors:
1 Cd 0.240 0.760 0.500
2 Cd 0.760 0.240 0.000
3 Ag 0.017 0.154 0.754
4 Ag 0.135 0.336 0.565
5 Ag 0.154 0.017 0.254
6 Ag 0.208 0.659 0.906
7 Ag 0.336 0.135 0.065
8 Ag 0.634 0.839 0.763
9 Ag 0.659 0.208 0.406
10 Ag 0.839 0.634 0.263
11 Br 0.184 0.677 0.300
12 Br 0.342 0.908 0.872
13 Br 0.423 0.438 0.064
14 Br 0.438 0.423 0.564
15 Br 0.440 0.959 0.573
16 Br 0.516 0.989 0.250
17 Br 0.677 0.184 0.800
18 Br 0.903 0.976 0.562
19 Br 0.908 0.342 0.372
20 Br 0.959 0.440 0.073
21 Br 0.976 0.903 0.062
22 Br 0.989 0.516 0.750

=====

This entry pairs a crystal structure of Cd3AgBr8 with its calculated X-ray powder pattern. Radiation: Cu Kα, 1.54184 Å. Structure: a crystal structure in Alexandria, relaxed with PBE.
Kinematic intensities with the Lorentz-polarization factor, no thermal factor.

Most intense lines, 2θ = 15–90°, sorted by position:
d = 3.490 Å, 25.52 deg, intensity 23; d = 3.383 Å, 26.35 deg, intensity 14; d = 2.923 Å, 30.58 deg, intensity 100; d = 2.786 Å, 32.13 deg, intensity 44; d = 2.256 Å, 39.97 deg, intensity 15; d = 2.084 Å, 43.42 deg, intensity 18; d = 2.050 Å, 44.17 deg, intensity 18; d = 2.022 Å, 44.83 deg, intensity 33; d = 2.011 Å, 45.08 deg, intensity 33; d = 1.663 Å, 55.25 deg, intensity 9; d = 1.651 Å, 55.67 deg, intensity 21; d = 1.462 Å, 63.66 deg, intensity 12

Structural model:
Unit cell a=8.054 b=8.054 c=8.336 alpha=120.81 beta=120.81 gamma=61.21
Sites, in units of the cell vectors:
1 Cd 0.000 0.000 0.000
2 Cd 0.000 0.500 0.000
3 Cd 0.500 0.000 0.000
4 Ag 0.500 0.500 0.000
5 Br 0.242 0.753 0.235
6 Br 0.247 0.758 0.765
7 Br 0.252 0.252 0.236
8 Br 0.262 0.262 0.771
9 Br 0.738 0.738 0.229
10 Br 0.748 0.748 0.764
11 Br 0.753 0.242 0.235
12 Br 0.758 0.247 0.765

=====

This entry pairs a crystal structure of MgCdAg2Br6 with its calculated X-ray powder pattern. Radiation: Cu Kα, 1.54184 Å. Structure: a crystal structure in Alexandria, relaxed with PBE.
Kinematic intensities with the Lorentz-polarization factor, no thermal factor.

Most intense lines, 2θ = 15–90°, sorted by position:
d = 5.166 Å, 17.17 deg, intensity 23; d = 3.757 Å, 23.68 deg, intensity 33; d = 3.100 Å, 28.80 deg, intensity 100; d = 2.583 Å, 34.73 deg, intensity 28; d = 2.363 Å, 38.09 deg, intensity 67; d = 2.090 Å, 43.29 deg, intensity 21; d = 2.053 Å, 44.10 deg, intensity 55; d = 1.813 Å, 50.34 deg, intensity 30; d = 1.712 Å, 53.53 deg, intensity 13; d = 1.550 Å, 59.66 deg, intensity 15; d = 1.237 Å, 77.10 deg, intensity 14; d = 1.192 Å, 80.61 deg, intensity 9

Structural model:
Unit cell a=7.538 b=7.538 c=7.538 alpha=56.30 beta=56.30 gamma=56.30
Sites, in units of the cell vectors:
1 Mg 0.000 0.000 0.000
2 Cd 0.503 0.503 0.503
3 Ag 0.301 0.301 0.301
4 Ag 0.796 0.796 0.796
5 Br 0.107 0.380 0.738
6 Br 0.222 0.894 0.615
7 Br 0.380 0.738 0.107
8 Br 0.615 0.222 0.894
9 Br 0.738 0.107 0.380
10 Br 0.894 0.615 0.222

=====

This entry pairs a crystal structure of CdAg2PdBr6 with its calculated X-ray powder pattern. Radiation: Cu Kα, 1.54184 Å. Structure: a crystal structure in Alexandria, relaxed with PBE.
Kinematic intensities with the Lorentz-polarization factor, no thermal factor.

Most intense lines, 2θ = 15–90°, sorted by position:
d = 5.109 Å, 17.36 deg, intensity 100; d = 4.872 Å, 18.21 deg, intensity 58; d = 4.187 Å, 21.22 deg, intensity 69; d = 4.155 Å, 21.38 deg, intensity 63; d = 3.805 Å, 23.38 deg, intensity 51; d = 3.201 Å, 27.87 deg, intensity 74; d = 3.014 Å, 29.63 deg, intensity 39; d = 2.491 Å, 36.06 deg, intensity 79; d = 2.401 Å, 37.46 deg, intensity 38; d = 2.342 Å, 38.44 deg, intensity 41; d = 2.132 Å, 42.39 deg, intensity 80; d = 1.864 Å, 48.85 deg, intensity 40

Structural model:
Unit cell a=6.697 b=7.391 c=7.669 alpha=118.55 beta=92.42 gamma=105.80
Sites, in units of the cell vectors:
1 Cd 0.000 0.000 0.000
2 Ag 0.275 0.506 0.488
3 Ag 0.713 0.371 0.840
4 Pd 0.505 0.021 0.392
5 Br 0.014 0.397 0.107
6 Br 0.304 0.223 0.633
7 Br 0.426 0.167 0.177
8 Br 0.591 0.882 0.611
9 Br 0.709 0.813 0.154
10 Br 0.953 0.613 0.688

=====

This entry pairs a crystal structure of PmCdAgBr6 with its calculated X-ray powder pattern. Radiation: Cu Kα, 1.54184 Å. Structure: a crystal structure in Alexandria, relaxed with PBE.
Kinematic intensities with the Lorentz-polarization factor, no thermal factor.

Most intense lines, 2θ = 15–90°, sorted by position:
d = 4.823 Å, 18.40 deg, intensity 100; d = 3.594 Å, 24.77 deg, intensity 26; d = 3.180 Å, 28.06 deg, intensity 80; d = 3.050 Å, 29.28 deg, intensity 28; d = 2.474 Å, 36.31 deg, intensity 99; d = 2.411 Å, 37.29 deg, intensity 45; d = 2.115 Å, 42.76 deg, intensity 23; d = 2.002 Å, 45.29 deg, intensity 64; d = 1.937 Å, 46.92 deg, intensity 17; d = 1.590 Å, 58.01 deg, intensity 24; d = 1.280 Å, 74.09 deg, intensity 23; d = 1.213 Å, 78.90 deg, intensity 24

Structural model:
Unit cell a=6.820 b=6.820 c=12.688 alpha=90.00 beta=90.00 gamma=90.00
Sites, in units of the cell vectors:
1 Pm 0.000 0.000 0.000
2 Pm 0.500 0.500 0.500
3 Cd 0.000 0.000 0.664
4 Cd 0.500 0.500 0.164
5 Ag 0.000 0.000 0.330
6 Ag 0.500 0.500 0.830
7 Br 0.196 0.196 0.827
8 Br 0.197 0.197 0.500
9 Br 0.205 0.205 0.165
10 Br 0.295 0.705 0.665
11 Br 0.303 0.697 0.000
12 Br 0.304 0.696 0.327
13 Br 0.696 0.304 0.327
14 Br 0.697 0.303 0.000
15 Br 0.705 0.295 0.665
16 Br 0.795 0.795 0.165
17 Br 0.803 0.803 0.500
18 Br 0.804 0.804 0.827

=====

This entry pairs a crystal structure of RbCdAg2Br4 with its calculated X-ray powder pattern. Radiation: Cu Kα, 1.54184 Å. Structure: a crystal structure in Alexandria, relaxed with PBE.
Kinematic intensities with the Lorentz-polarization factor, no thermal factor.

Most intense lines, 2θ = 15–90°, sorted by position:
d = 3.876 Å, 22.94 deg, intensity 100; d = 2.656 Å, 33.75 deg, intensity 5; d = 2.461 Å, 36.51 deg, intensity 13; d = 2.450 Å, 36.69 deg, intensity 14; d = 2.336 Å, 38.54 deg, intensity 42; d = 2.077 Å, 43.58 deg, intensity 17; d = 2.072 Å, 43.69 deg, intensity 17; d = 1.935 Å, 46.96 deg, intensity 13; d = 1.736 Å, 52.72 deg, intensity 8; d = 1.521 Å, 60.92 deg, intensity 5; d = 1.396 Å, 67.06 deg, intensity 6; d = 1.391 Å, 67.29 deg, intensity 6

Structural model:
Unit cell a=8.007 b=7.992 c=6.945 alpha=64.38 beta=64.17 gamma=51.45
Sites, in units of the cell vectors:
1 Rb 0.000 0.000 0.000
2 Cd 0.503 0.503 0.497
3 Ag 0.252 0.252 0.248
4 Ag 0.752 0.752 0.748
5 Br 0.136 0.566 0.434
6 Br 0.437 0.871 0.563
7 Br 0.566 0.136 0.864
8 Br 0.871 0.437 0.129

=====

This entry pairs a crystal structure of CeAgBr6 with its calculated X-ray powder pattern. Radiation: Cu Kα, 1.54184 Å. Structure: a crystal structure in Alexandria, relaxed with PBE.
Kinematic intensities with the Lorentz-polarization factor, no thermal factor.

Most intense lines, 2θ = 15–90°, sorted by position:
d = 3.464 Å, 25.72 deg, intensity 54; d = 3.218 Å, 27.72 deg, intensity 100; d = 3.118 Å, 28.63 deg, intensity 46; d = 3.067 Å, 29.12 deg, intensity 50; d = 2.561 Å, 35.03 deg, intensity 79; d = 2.482 Å, 36.19 deg, intensity 21; d = 2.412 Å, 37.29 deg, intensity 57; d = 2.276 Å, 39.60 deg, intensity 27; d = 2.229 Å, 40.48 deg, intensity 25; d = 2.099 Å, 43.09 deg, intensity 56; d = 1.992 Å, 45.53 deg, intensity 30; d = 1.757 Å, 52.05 deg, intensity 21

Structural model:
Unit cell a=7.048 b=7.048 c=7.086 alpha=93.86 beta=93.86 gamma=116.00
Sites, in units of the cell vectors:
1 Ce 0.000 0.000 0.000
2 Ag 0.000 0.000 0.500
3 Br 0.032 0.716 0.256
4 Br 0.284 0.968 0.744
5 Br 0.322 0.322 0.230
6 Br 0.678 0.678 0.770
7 Br 0.716 0.032 0.256
8 Br 0.968 0.284 0.744

=====

This entry pairs a crystal structure of CeAg2Br5 with its calculated X-ray powder pattern. Radiation: Cu Kα, 1.54184 Å. Structure: a crystal structure in Alexandria, relaxed with PBE.
Kinematic intensities with the Lorentz-polarization factor, no thermal factor.

Most intense lines, 2θ = 15–90°, sorted by position:
d = 5.096 Å, 17.40 deg, intensity 52; d = 4.992 Å, 17.77 deg, intensity 100; d = 3.531 Å, 25.22 deg, intensity 75; d = 3.504 Å, 25.42 deg, intensity 27; d = 3.156 Å, 28.28 deg, intensity 54; d = 3.114 Å, 28.67 deg, intensity 63; d = 2.912 Å, 30.71 deg, intensity 61; d = 2.580 Å, 34.77 deg, intensity 25; d = 2.554 Å, 35.13 deg, intensity 26; d = 2.499 Å, 35.93 deg, intensity 53; d = 2.456 Å, 36.59 deg, intensity 54; d = 2.187 Å, 41.29 deg, intensity 24

Structural model:
Unit cell a=5.930 b=7.539 c=7.543 alpha=83.11 beta=68.55 gamma=68.17
Sites, in units of the cell vectors:
1 Ce 0.000 0.000 0.000
2 Ag 0.506 0.533 0.937
3 Ag 0.523 0.996 0.509
4 Br 0.069 0.651 0.216
5 Br 0.299 0.755 0.649
6 Br 0.518 0.989 0.980
7 Br 0.736 0.234 0.344
8 Br 0.984 0.337 0.764

=====

This entry pairs a crystal structure of CsCe2AgBr8 with its calculated X-ray powder pattern. Radiation: Cu Kα, 1.54184 Å. Structure: a crystal structure in Alexandria, relaxed with PBE.
Kinematic intensities with the Lorentz-polarization factor, no thermal factor.

Most intense lines, 2θ = 15–90°, sorted by position:
d = 5.306 Å, 16.71 deg, intensity 26; d = 3.813 Å, 23.33 deg, intensity 61; d = 3.505 Å, 25.41 deg, intensity 44; d = 3.096 Å, 28.83 deg, intensity 48; d = 2.897 Å, 30.86 deg, intensity 100; d = 2.709 Å, 33.06 deg, intensity 29; d = 2.653 Å, 33.79 deg, intensity 22; d = 2.404 Å, 37.42 deg, intensity 25; d = 2.209 Å, 40.86 deg, intensity 23; d = 2.201 Å, 41.00 deg, intensity 62; d = 2.111 Å, 42.83 deg, intensity 20; d = 1.911 Å, 47.58 deg, intensity 33

Structural model:
Unit cell a=7.626 b=7.626 c=8.913 alpha=90.00 beta=90.00 gamma=120.00
Sites, in units of the cell vectors:
1 Cs 0.000 0.000 0.000
2 Ce 0.333 0.667 0.407
3 Ce 0.667 0.333 0.593
4 Ag 0.000 0.000 0.500
5 Br 0.067 0.364 0.655
6 Br 0.297 0.933 0.655
7 Br 0.333 0.667 0.093
8 Br 0.364 0.297 0.345
9 Br 0.636 0.703 0.655
10 Br 0.667 0.333 0.907
11 Br 0.703 0.067 0.345
12 Br 0.933 0.636 0.345